Computed powder diffractogram
Compound: Th6Se5
Radiation: CuKα
Structure: a cell relaxed with GGA-PBE

Atomic structure:
```
data_Th6Se5
_space_group_name_H-M_alt 'P 1'
_space_group_IT_number 1
_cell_length_a 7.2126
_cell_length_b 7.2126
_cell_length_c 7.1559
_cell_angle_alpha 99.84
_cell_angle_beta 99.84
_cell_angle_gamma 119.35
loop_
_space_group_symop_operation_xyz
'x,y,z'
loop_
_atom_site_label
_atom_site_type_symbol
_atom_site_fract_x
_atom_site_fract_y
_atom_site_fract_z
_atom_site_occupancy
Th1 Th 0.0770 0.3919 0.7349 1
Th2 Th 0.2340 0.2340 0.2445 1
Th3 Th 0.3919 0.0770 0.7349 1
Th4 Th 0.6081 0.9230 0.2651 1
Th5 Th 0.7660 0.7660 0.7555 1
Th6 Th 0.9230 0.6081 0.2651 1
Se1 Se 0.1801 0.8199 0.0000 1
Se2 Se 0.3374 0.6626 0.5000 1
Se3 Se 0.5000 0.5000 0.0000 1
Se4 Se 0.6626 0.3374 0.5000 1
Se5 Se 0.8199 0.1801 0.0000 1
```

Largest 10 diffraction maxima, by angle, 5° ≤ 2θ ≤ 70°:
3.426 Å, rel. 21; 3.396 Å, rel. 43; 3.367 Å, rel. 21; 2.953 Å, rel. 54; 2.935 Å, rel. 100; 2.096 Å, rel. 38; 2.075 Å, rel. 36; 2.068 Å, rel. 38; 1.779 Å, rel. 13; 1.698 Å, rel. 20